Theoretical powder diffraction line list
Compound: K2GaAuBr6
Radiation: Cu Kα (λ = 1.5418 Å)
Structure: the PBE geometry in the Materials Project

Top 12 peaks for 2θ = 10–90°, by angle:
16.41 deg, I = 96; 23.28 deg, I = 25; 27.37 deg, I = 16; 28.62 deg, I = 26; 33.16 deg, I = 100; 37.21 deg, I = 51; 47.60 deg, I = 70; 50.69 deg, I = 27; 59.24 deg, I = 24; 72.07 deg, I = 15; 79.30 deg, I = 30; 88.69 deg, I = 24

Unit cell a=7.641 b=7.641 c=7.641 alpha=60.00 beta=60.00 gamma=60.00
Fractional coordinates of all 10 atoms:
K (0.250, 0.250, 0.250)
K (0.750, 0.750, 0.750)
Ga (0.000, 0.000, 0.000)
Au (0.500, 0.500, 0.500)
Br (0.243, 0.243, 0.757)
Br (0.243, 0.757, 0.243)
Br (0.243, 0.757, 0.757)
Br (0.757, 0.243, 0.243)
Br (0.757, 0.243, 0.757)
Br (0.757, 0.757, 0.243)

=====

Theoretical powder diffraction line list
Compound: Rb2GaAuBr6
Radiation: Cu Kα (λ = 1.5418 Å)
Structure: the PBE geometry in the Materials Project

Top 12 peaks for 2θ = 10–90°, by angle:
16.32 deg, I = 43; 23.16 deg, I = 44; 27.22 deg, I = 13; 28.46 deg, I = 35; 32.98 deg, I = 100; 37.00 deg, I = 23; 40.69 deg, I = 20; 47.33 deg, I = 71; 56.16 deg, I = 14; 58.90 deg, I = 24; 78.79 deg, I = 31; 88.10 deg, I = 24

Unit cell a=7.682 b=7.682 c=7.682 alpha=60.00 beta=60.00 gamma=60.00
Fractional coordinates of all 10 atoms:
Rb (0.250, 0.250, 0.250)
Rb (0.750, 0.750, 0.750)
Ga (0.000, 0.000, 0.000)
Au (0.500, 0.500, 0.500)
Br (0.243, 0.243, 0.757)
Br (0.243, 0.757, 0.243)
Br (0.243, 0.757, 0.757)
Br (0.757, 0.243, 0.243)
Br (0.757, 0.243, 0.757)
Br (0.757, 0.757, 0.243)